Entry 1:
# AuS6Br
Calculated XRD peak list, λ = 1.5418 Å (Cu Kα). Input: the PBE geometry in OQMD.
Kinematic intensities with the Lorentz-polarization factor, no thermal factor.

Atomic structure:
```
8
Lattice="0.000 4.627 4.627 4.627 0.000 4.627 4.627 4.627 0.000" Properties=species:S:1:pos:R:3 pbc="T T T"
Au 0.000 0.000 0.000
S 6.940 6.940 5.218
S 6.940 5.218 6.940
S 8.662 6.940 6.940
S 5.218 6.940 6.940
S 6.940 8.662 6.940
S 6.940 6.940 8.662
Br 2.313 2.313 2.313
```

Principal peaks in the range 2θ = 15–90°, sorted by position:
16.6 deg, d 5.342, I 100.0
27.3 deg, d 3.272, I 78.2
32.1 deg, d 2.790, I 76.7
33.5 deg, d 2.671, I 30.8
38.9 deg, d 2.313, I 39.5
42.6 deg, d 2.123, I 52.0
51.3 deg, d 1.781, I 32.3
63.6 deg, d 1.463, I 26.7

Entry 2:
# Ag2PtF6
Calculated XRD peak list, λ = 1.5418 Å (Cu Kα). Input: the PBE geometry in OQMD.
Kinematic intensities with the Lorentz-polarization factor, no thermal factor.

Atomic structure:
```
18
Lattice="5.031 0.000 0.000 0.000 5.031 0.000 0.000 0.000 10.515" Properties=species:S:1:pos:R:3 pbc="T T T"
Ag 0.000 0.000 1.746
Ag 0.000 0.000 8.769
Ag 2.515 2.515 3.512
Ag 2.515 2.515 7.003
Pt 0.000 0.000 5.257
Pt 2.515 2.515 0.000
F 0.917 0.917 3.757
F 0.917 0.917 6.758
F 1.118 1.118 0.000
F 1.397 3.634 5.257
F 1.598 3.433 1.500
F 1.598 3.433 9.014
F 3.433 1.598 1.500
F 3.433 1.598 9.014
F 3.634 1.397 5.257
F 3.912 3.912 0.000
F 4.113 4.113 3.757
F 4.113 4.113 6.758
```

Principal peaks in the range 2θ = 15–90°, sorted by position:
19.6 deg, d 4.538, I 15.6
25.0 deg, d 3.557, I 100.0
31.1 deg, d 2.876, I 88.8
35.7 deg, d 2.515, I 22.8
48.1 deg, d 1.893, I 70.3
51.4 deg, d 1.779, I 17.0
58.7 deg, d 1.572, I 17.7
61.3 deg, d 1.513, I 20.6

Entry 3:
# Dy2ScCu4Si2Ge2
Calculated XRD peak list, λ = 1.5418 Å (Cu Kα). Input: the PBE geometry in OQMD.
Kinematic intensities with the Lorentz-polarization factor, no thermal factor.

Atomic structure:
```
11
Lattice="-2.091 3.245 6.840 2.091 -3.245 6.840 2.091 3.245 -6.840" Properties=species:S:1:pos:R:3 pbc="T T T"
Dy 0.000 0.000 1.771
Dy 0.000 0.000 11.909
Sc 0.000 3.245 0.000
Cu 2.091 2.005 -2.243
Cu 2.091 2.005 2.243
Cu 0.000 1.240 4.597
Cu 0.000 1.240 9.083
Si 2.091 1.228 0.000
Si 0.000 2.017 6.840
Ge 2.091 0.000 3.923
Ge 0.000 3.245 2.917
```

Principal peaks in the range 2θ = 15–90°, sorted by position:
15.1 deg, d 5.864, I 17.1
25.3 deg, d 3.516, I 17.6
35.6 deg, d 2.520, I 100.0
36.7 deg, d 2.451, I 93.9
40.4 deg, d 2.235, I 53.9
43.3 deg, d 2.091, I 37.4
46.5 deg, d 1.955, I 20.3
65.3 deg, d 1.428, I 22.8

Entry 4:
# Cu31Ag9
Calculated XRD peak list, λ = 1.5418 Å (Cu Kα). Input: the PBE geometry in OQMD.
Kinematic intensities with the Lorentz-polarization factor, no thermal factor.

Atomic structure:
```
40
Lattice="5.320 0.000 0.000 -0.028 9.134 0.000 -1.287 -0.820 10.769" Properties=species:S:1:pos:R:3 pbc="T T T"
Cu 0.000 0.000 0.000
Cu -0.012 4.455 0.000
Cu -0.018 2.886 2.084
Cu -0.015 1.368 4.185
Cu -0.028 5.948 4.362
Cu 0.041 -0.171 6.463
Cu 0.045 4.534 6.571
Cu 0.045 2.945 8.739
Cu 1.355 2.221 0.032
Cu 0.075 5.925 10.730
Cu 1.378 0.741 2.090
Cu 1.322 6.687 6.461
Cu 1.370 5.139 8.700
Cu 1.403 0.663 8.792
Cu 2.683 9.059 0.059
Cu 1.423 3.615 10.753
Cu 2.682 7.557 2.083
Cu 2.729 2.894 2.088
Cu 2.749 1.400 4.194
Cu 2.779 6.018 4.267
Cu 2.698 7.375 8.746
Cu 2.732 2.907 8.746
Cu 2.670 5.879 10.751
Cu 4.016 2.198 0.028
Cu 3.986 0.699 2.122
Cu 4.015 5.167 2.128
Cu 4.014 3.703 4.192
Cu 4.012 8.275 4.312
Cu 4.088 6.724 6.423
Cu 4.044 5.151 8.720
Cu 4.070 0.704 8.739
Ag -0.044 7.550 2.080
Ag 0.037 7.495 8.636
Ag 1.381 5.215 2.106
Ag 1.329 3.648 4.296
Ag 1.368 8.261 4.295
Ag 1.371 2.114 6.563
Ag 2.732 4.547 6.517
Ag 2.738 -0.241 6.625
Ag 4.067 2.173 6.437
```

Principal peaks in the range 2θ = 15–90°, sorted by position:
41.7 deg, d 2.164, I 100.0
41.9 deg, d 2.155, I 96.5
48.4 deg, d 1.880, I 31.1
48.7 deg, d 1.871, I 30.7
49.0 deg, d 1.860, I 29.9
71.3 deg, d 1.322, I 25.5
86.0 deg, d 1.130, I 15.1
86.6 deg, d 1.124, I 14.9

Entry 5:
# GdYFe2Br2
Calculated XRD peak list, λ = 1.5418 Å (Cu Kα). Input: the PBE geometry in OQMD.
Kinematic intensities with the Lorentz-polarization factor, no thermal factor.

Atomic structure:
```
6
Lattice="3.868 0.000 0.000 -1.934 3.350 0.000 0.000 0.000 11.683" Properties=species:S:1:pos:R:3 pbc="T T T"
Gd 0.000 0.000 0.000
Y 0.000 0.000 3.990
Fe 0.000 2.233 1.937
Fe 1.934 1.117 2.068
Br 0.000 2.233 5.905
Br 1.934 1.117 9.745
```

Principal peaks in the range 2θ = 15–90°, sorted by position:
27.7 deg, d 3.220, I 35.0
30.8 deg, d 2.906, I 43.2
35.3 deg, d 2.539, I 100.0
46.6 deg, d 1.947, I 13.7
47.0 deg, d 1.934, I 41.1
60.1 deg, d 1.539, I 20.7
68.4 deg, d 1.372, I 25.3
79.6 deg, d 1.204, I 18.1

Entry 6:
# DyTm6Cu2Te2
Calculated XRD peak list, λ = 1.5418 Å (Cu Kα). Input: the PBE geometry in OQMD.
Kinematic intensities with the Lorentz-polarization factor, no thermal factor.

Atomic structure:
```
11
Lattice="-1.959 7.655 4.745 1.959 -7.655 4.745 1.959 7.655 -4.745" Properties=species:S:1:pos:R:3 pbc="T T T"
Dy 0.000 0.000 0.000
Tm 1.959 2.841 -1.136
Tm 1.959 -2.215 2.260
Tm 1.959 2.215 2.260
Tm 1.959 5.653 0.808
Tm 0.000 4.814 3.609
Tm 0.000 2.002 5.553
Cu 0.000 3.627 0.710
Cu 0.000 11.682 0.710
Te 0.000 0.000 3.216
Te 0.000 7.655 2.228
```

Principal peaks in the range 2θ = 15–90°, sorted by position:
28.8 deg, d 3.103, I 39.3
30.2 deg, d 2.964, I 52.6
33.3 deg, d 2.689, I 71.7
34.1 deg, d 2.631, I 100.0
34.5 deg, d 2.600, I 54.6
46.3 deg, d 1.959, I 30.3
51.6 deg, d 1.773, I 24.0
58.3 deg, d 1.583, I 34.1

Entry 7:
# ErScTeC
Calculated XRD peak list, λ = 1.5418 Å (Cu Kα). Input: the PBE geometry in OQMD.
Kinematic intensities with the Lorentz-polarization factor, no thermal factor.

Atomic structure:
```
8
Lattice="3.686 0.000 0.000 -1.843 3.192 0.000 0.000 0.000 13.555" Properties=species:S:1:pos:R:3 pbc="T T T"
Er 0.000 0.000 2.243
Er 0.000 0.000 11.312
Sc 0.000 2.128 4.713
Sc 0.000 2.128 8.842
Te 0.000 0.000 6.778
Te 0.000 2.128 0.000
C 1.843 1.064 3.524
C 1.843 1.064 10.032
```

Principal peaks in the range 2θ = 15–90°, sorted by position:
28.0 deg, d 3.192, I 34.7
34.4 deg, d 2.607, I 100.0
39.9 deg, d 2.259, I 12.9
49.4 deg, d 1.843, I 41.3
61.6 deg, d 1.505, I 18.9
65.3 deg, d 1.428, I 17.9
68.9 deg, d 1.362, I 12.1
82.8 deg, d 1.166, I 17.6

Entry 8:
# Dy
Calculated XRD peak list, λ = 1.5418 Å (Cu Kα). Input: the PBE geometry in OQMD.
Kinematic intensities with the Lorentz-polarization factor, no thermal factor.

Atomic structure:
```
2
Lattice="1.775 -3.136 0.000 1.775 3.136 0.000 0.000 0.000 5.600" Properties=species:S:1:pos:R:3 pbc="T T T"
Dy 1.775 2.134 4.200
Dy 1.775 -2.134 1.400
```

Principal peaks in the range 2θ = 15–90°, sorted by position:
28.9 deg, d 3.089, I 28.9
32.0 deg, d 2.800, I 38.6
32.7 deg, d 2.736, I 59.5
33.1 deg, d 2.705, I 100.0
43.6 deg, d 2.075, I 19.0
50.7 deg, d 1.801, I 21.0
57.7 deg, d 1.598, I 20.6
61.2 deg, d 1.515, I 23.9

Entry 9:
# GdTlCdTe3
Calculated XRD peak list, λ = 1.5418 Å (Cu Kα). Input: the PBE geometry in OQMD.
Kinematic intensities with the Lorentz-polarization factor, no thermal factor.

Atomic structure:
```
24
Lattice="15.484 0.000 0.000 0.000 4.493 0.000 0.000 0.000 11.996" Properties=species:S:1:pos:R:3 pbc="T T T"
Gd 0.410 1.123 1.861
Gd 7.332 3.369 7.859
Gd 8.152 1.123 4.137
Gd 15.074 3.369 10.135
Tl 3.705 1.123 5.433
Tl 4.037 3.369 11.431
Tl 11.447 1.123 0.565
Tl 11.779 3.369 6.563
Cd 0.302 3.369 4.787
Cd 7.440 1.123 10.785
Cd 8.044 3.369 1.211
Cd 15.183 1.123 7.209
Te 1.492 3.369 7.490
Te 1.562 1.123 11.028
Te 2.369 3.369 2.850
Te 5.374 1.123 8.848
Te 6.180 3.369 5.030
Te 6.250 1.123 1.492
Te 9.234 3.369 10.504
Te 9.304 1.123 6.966
Te 10.111 3.369 3.148
Te 13.116 1.123 9.146
Te 13.922 3.369 0.968
Te 13.992 1.123 4.506
```

Principal peaks in the range 2θ = 15–90°, sorted by position:
25.1 deg, d 3.553, I 16.8
27.4 deg, d 3.261, I 100.0
30.3 deg, d 2.949, I 49.5
32.0 deg, d 2.797, I 18.9
32.1 deg, d 2.787, I 20.2
38.4 deg, d 2.347, I 23.4
40.1 deg, d 2.246, I 25.8
44.4 deg, d 2.041, I 15.9

Entry 10:
# Ba3Cd2Bi2Sb2
Calculated XRD peak list, λ = 1.5418 Å (Cu Kα). Input: the PBE geometry in OQMD.
Kinematic intensities with the Lorentz-polarization factor, no thermal factor.

Atomic structure:
```
9
Lattice="9.030 -2.478 0.000 9.030 2.478 0.000 -2.900 0.000 7.367" Properties=species:S:1:pos:R:3 pbc="T T T"
Ba 0.000 0.000 0.000
Ba 0.898 0.000 4.378
Ba 14.261 0.000 2.989
Cd 5.894 0.000 0.185
Cd 9.265 0.000 7.181
Bi 7.016 0.000 5.086
Bi 8.143 0.000 2.281
Sb 3.160 0.000 1.462
Sb 11.999 0.000 5.905
```

Principal peaks in the range 2θ = 15–90°, sorted by position:
24.0 deg, d 3.711, I 47.0
24.1 deg, d 3.694, I 40.2
25.7 deg, d 3.471, I 36.4
29.1 deg, d 3.070, I 72.3
29.5 deg, d 3.032, I 100.0
29.7 deg, d 3.005, I 71.8
32.0 deg, d 2.801, I 49.2
36.3 deg, d 2.478, I 61.3

Entry 11:
# DySi2NiOs
Calculated XRD peak list, λ = 1.5418 Å (Cu Kα). Input: the PBE geometry in OQMD.
Kinematic intensities with the Lorentz-polarization factor, no thermal factor.

Atomic structure:
```
5
Lattice="-1.985 1.985 5.013 1.985 -1.985 5.013 1.985 1.985 -5.013" Properties=species:S:1:pos:R:3 pbc="T T T"
Dy 0.000 0.000 0.000
Si 0.000 0.000 3.789
Si 0.000 0.000 6.237
Ni 0.000 1.985 2.507
Os 1.985 0.000 2.507
```

Principal peaks in the range 2θ = 15–90°, sorted by position:
24.1 deg, d 3.691, I 48.0
35.1 deg, d 2.557, I 35.5
35.8 deg, d 2.507, I 19.6
36.7 deg, d 2.449, I 100.0
45.7 deg, d 1.985, I 34.4
59.4 deg, d 1.556, I 18.3
64.9 deg, d 1.436, I 18.0
78.6 deg, d 1.218, I 21.8

Entry 12:
# KLaHfSe4
Calculated XRD peak list, λ = 1.5418 Å (Cu Kα). Input: the PBE geometry in OQMD.
Kinematic intensities with the Lorentz-polarization factor, no thermal factor.

Atomic structure:
```
14
Lattice="7.424 0.000 0.000 0.000 7.211 0.000 -3.036 0.000 8.615" Properties=species:S:1:pos:R:3 pbc="T T T"
K 0.463 0.000 3.789
K 3.925 3.606 4.826
La -0.664 0.004 8.132
La 5.052 3.610 0.483
Hf 1.205 3.663 1.422
Hf 3.183 0.057 7.193
Se -2.727 4.822 7.913
Se -0.611 4.016 3.060
Se 2.990 5.436 1.909
Se 3.039 1.837 1.808
Se 1.349 5.443 6.807
Se 1.398 1.831 6.706
Se 4.999 0.410 5.555
Se 7.115 1.217 0.702
```

Principal peaks in the range 2θ = 15–90°, sorted by position:
16.0 deg, d 5.530, I 100.0
24.1 deg, d 3.698, I 27.5
27.1 deg, d 3.292, I 26.9
29.7 deg, d 3.006, I 62.7
30.4 deg, d 2.942, I 48.5
35.7 deg, d 2.512, I 66.7
39.5 deg, d 2.283, I 30.0
39.7 deg, d 2.270, I 41.2

Entry 13:
# ScBeAu4
Calculated XRD peak list, λ = 1.5418 Å (Cu Kα). Input: the PBE geometry in OQMD.
Kinematic intensities with the Lorentz-polarization factor, no thermal factor.

Atomic structure:
```
6
Lattice="3.170 0.000 0.000 0.000 3.170 0.000 0.000 0.000 10.124" Properties=species:S:1:pos:R:3 pbc="T T T"
Sc 0.000 0.000 0.000
Be 1.585 1.585 5.062
Au 0.000 0.000 3.691
Au 0.000 0.000 6.433
Au 1.585 1.585 1.769
Au 1.585 1.585 8.355
```

Principal peaks in the range 2θ = 15–90°, sorted by position:
17.5 deg, d 5.062, I 15.3
29.5 deg, d 3.025, I 52.8
33.3 deg, d 2.687, I 12.2
39.0 deg, d 2.310, I 100.0
40.2 deg, d 2.242, I 54.7
54.7 deg, d 1.678, I 13.5
58.2 deg, d 1.585, I 18.6
72.3 deg, d 1.307, I 33.2